Entry 1:
Structure and simulated powder X-ray diffraction pattern of Tb6USe8 (the GGA-PBE geometry in Alexandria; Cu Kα (λ = 1.5418 Å)).
Kinematic intensities with the Lorentz-polarization factor, no thermal factor.

Most intense lines, 2θ = 5–70°, in order of falling intensity:
2θ/deg	I (rel.)
30.98	100
44.38	74
55.10	26
26.74	16
13.28	13
64.56	12
25.58	10
52.57	8
33.83	6
46.53	4

Structural model:
```
data_Tb6USe8
_symmetry_space_group_name_H-M 'F m -3 m'
_symmetry_Int_Tables_number 225
_symmetry_space_group_name_Hall '-F 4 2 3'
_cell_length_a 11.5479
_cell_length_b 11.5479
_cell_length_c 11.5479
_cell_angle_alpha 90.00
_cell_angle_beta 90.00
_cell_angle_gamma 90.00
loop_
_atom_site_label
_atom_site_type_symbol
_atom_site_fract_x
_atom_site_fract_y
_atom_site_fract_z
Tb1 Tb 0.0000 0.2500 0.2500
U1 U 0.0000 0.0000 0.0000
Se1 Se 0.0000 0.0000 0.2545
Se2 Se 0.2500 0.2500 0.2500
```



Entry 2:
Structure and simulated powder X-ray diffraction pattern of K3Rb11 (the GGA-PBE geometry in Alexandria; Cu Kα (λ = 1.5418 Å)).
Kinematic intensities with the Lorentz-polarization factor, no thermal factor.

Most intense lines, 2θ = 5–70°, in order of falling intensity:
2θ/deg	I (rel.)
23.06	100
23.38	64
22.54	60
20.78	43
22.10	30
18.79	24
39.89	24
31.77	24
29.49	21
44.37	20

Structural model:
```
data_K3Rb11
_symmetry_space_group_name_H-M 'I m m m'
_symmetry_Int_Tables_number 71
_symmetry_space_group_name_Hall '-I 2 2'
_cell_length_a 7.8898
_cell_length_b 14.5191
_cell_length_c 21.7108
_cell_angle_alpha 90.00
_cell_angle_beta 90.00
_cell_angle_gamma 90.00
loop_
_atom_site_label
_atom_site_type_symbol
_atom_site_fract_x
_atom_site_fract_y
_atom_site_fract_z
K1 K 0.0000 0.0000 0.0000
K2 K 0.0000 0.3105 0.0000
Rb1 Rb 0.0000 0.0000 0.5000
Rb2 Rb 0.0000 0.1567 0.2156
Rb3 Rb 0.0000 0.3343 0.3974
Rb4 Rb 0.0000 0.5000 0.1776
```



What did the second record say?
Structure and simulated powder X-ray diffraction pattern of K3Rb11 (the GGA-PBE geometry in Alexandria; Cu Kα (λ = 1.5418 Å)).
Kinematic intensities with the Lorentz-polarization factor, no thermal factor.

Most intense lines, 2θ = 5–70°, in order of falling intensity:
2θ/deg	I (rel.)
23.06	100
23.38	64
22.54	60
20.78	43
22.10	30
18.79	24
39.89	24
31.77	24
29.49	21
44.37	20

Structural model:
```
data_K3Rb11
_symmetry_space_group_name_H-M 'I m m m'
_symmetry_Int_Tables_number 71
_symmetry_space_group_name_Hall '-I 2 2'
_cell_length_a 7.8898
_cell_length_b 14.5191
_cell_length_c 21.7108
_cell_angle_alpha 90.00
_cell_angle_beta 90.00
_cell_angle_gamma 90.00
loop_
_atom_site_label
_atom_site_type_symbol
_atom_site_fract_x
_atom_site_fract_y
_atom_site_fract_z
K1 K 0.0000 0.0000 0.0000
K2 K 0.0000 0.3105 0.0000
Rb1 Rb 0.0000 0.0000 0.5000
Rb2 Rb 0.0000 0.1567 0.2156
Rb3 Rb 0.0000 0.3343 0.3974
Rb4 Rb 0.0000 0.5000 0.1776
```